Structure and simulated PXRD pattern of Na2LiFePCO7 (a cell relaxed with PBE+U; Cu Kα X-rays).
Lines closer than 0.1° are merged.

Largest 8 diffraction maxima, by angle, 2θ from 10° to 90°:
2θ (°)  I_rel
19.6  29
20.2  33
26.1  37
26.8  100
30.3  28
34.0  40
34.8  60
55.2  30

Crystal structure
```
Na2LiFePCO7
1.0
5.161 0.000 0.000
0.016 6.655 0.000
0.317 0.151 8.854
Na Li Fe P C O
4 2 2 2 2 14
Direct
0.000 0.000 0.000
0.001 0.492 0.000
0.010 0.735 0.343
0.503 0.997 0.521
0.486 0.519 0.541
0.500 0.260 0.172
0.037 0.252 0.609
0.472 0.744 0.909
0.550 0.250 0.847
0.964 0.743 0.671
0.521 0.737 0.208
0.964 0.250 0.312
0.028 0.937 0.576
0.076 0.565 0.576
0.084 0.749 0.828
0.208 0.245 0.345
0.299 0.742 0.143
0.423 0.266 0.691
0.464 0.058 0.939
0.470 0.429 0.953
0.533 0.724 0.354
0.662 0.722 0.690
0.732 0.744 0.123
0.785 0.262 0.420
0.850 0.249 0.823
0.893 0.242 0.173
```

Structure and simulated PXRD pattern of Na2LiFePCO7 (a cell relaxed with PBE+U; Cu Kα X-rays).
Lines closer than 0.1° are merged.

Largest 8 diffraction maxima, by angle, 2θ from 10° to 90°:
2θ (°)  I_rel
10.1  100
20.4  22
26.1  28
26.4  71
33.2  38
33.7  35
34.9  44
54.4  32

Crystal structure
```
Na2LiFePCO7
1.0
6.749 0.000 0.000
-0.109 8.795 0.000
-0.025 -0.446 10.271
Na Li Fe P C O
8 4 4 4 4 28
Direct
0.000 0.000 0.000
0.002 0.006 0.512
0.252 0.827 0.252
0.496 0.006 0.507
0.503 0.483 0.758
0.504 0.479 0.258
0.992 0.479 0.261
0.997 0.481 0.759
0.262 0.833 0.756
0.469 0.025 0.010
0.737 0.644 0.011
0.748 0.642 0.512
0.249 0.393 0.018
0.252 0.393 0.523
0.744 0.090 0.235
0.744 0.093 0.747
0.246 0.156 0.270
0.253 0.144 0.778
0.744 0.332 0.985
0.750 0.331 0.490
0.250 0.691 0.500
0.260 0.690 0.988
0.747 0.790 0.774
0.749 0.791 0.276
0.058 0.059 0.231
0.065 0.045 0.749
0.244 0.834 0.479
0.246 0.313 0.209
0.248 0.595 0.888
0.249 0.298 0.712
0.252 0.592 0.401
0.254 0.179 0.422
0.254 0.634 0.103
0.254 0.643 0.618
0.273 0.176 0.930
0.275 0.835 0.971
0.428 0.060 0.222
0.429 0.043 0.732
0.568 0.432 0.529
0.568 0.437 0.024
0.728 0.173 0.044
0.740 0.904 0.859
0.742 0.905 0.362
0.748 0.300 0.340
0.748 0.308 0.834
0.748 0.815 0.650
0.751 0.179 0.560
0.751 0.654 0.316
0.752 0.654 0.817
0.752 0.819 0.152
0.932 0.424 0.030
0.935 0.433 0.528
```

Structure and simulated PXRD pattern of Na2LiFePCO7 (a cell relaxed with PBE+U; Cu Kα X-rays).
Lines closer than 0.1° are merged.

Largest 8 diffraction maxima, by angle, 2θ from 10° to 90°:
2θ (°)  I_rel
10.0  100
20.4  20
26.2  98
33.0  34
33.1  22
33.4  35
35.1  44
53.9  24

Crystal structure
```
Na2LiFePCO7
1.0
6.806 0.000 0.000
-0.060 8.823 0.000
-0.011 -0.333 10.217
Na Li Fe P C O
8 4 4 4 4 28
Direct
0.000 0.000 0.000
0.001 0.001 0.500
0.244 0.178 0.254
0.496 0.000 0.998
0.498 0.001 0.500
0.499 0.520 0.245
0.501 0.525 0.752
0.997 0.525 0.749
0.248 0.173 0.750
0.754 0.362 0.498
0.761 0.361 0.997
0.968 0.544 0.258
0.245 0.612 0.989
0.246 0.610 0.481
0.746 0.904 0.257
0.750 0.912 0.765
0.240 0.846 0.226
0.250 0.855 0.730
0.748 0.672 0.515
0.752 0.663 0.020
0.249 0.311 0.003
0.249 0.320 0.519
0.749 0.214 0.733
0.757 0.219 0.240
0.062 0.947 0.266
0.069 0.954 0.768
0.226 0.686 0.284
0.242 0.419 0.616
0.245 0.826 0.074
0.247 0.413 0.099
0.249 0.355 0.883
0.250 0.169 0.029
0.250 0.822 0.579
0.251 0.177 0.542
0.251 0.701 0.800
0.253 0.370 0.401
0.428 0.935 0.272
0.433 0.955 0.768
0.562 0.576 0.479
0.567 0.565 0.986
0.744 0.105 0.154
0.747 0.351 0.695
0.748 0.821 0.958
0.750 0.827 0.448
0.751 0.102 0.645
0.751 0.182 0.857
0.751 0.191 0.364
0.756 0.702 0.666
0.767 0.687 0.173
0.776 0.355 0.198
0.925 0.570 0.470
0.929 0.565 0.973
```

Structure and simulated PXRD pattern of Na2LiFePCO7 (a cell relaxed with PBE+U; Cu Kα X-rays).
Lines closer than 0.1° are merged.

Largest 8 diffraction maxima, by angle, 2θ from 10° to 90°:
2θ (°)  I_rel
10.0  100
26.3  28
26.5  71
30.4  19
33.4  38
33.6  20
35.1  47
54.5  39

Crystal structure
```
Na2LiFePCO7
1.0
6.736 0.000 0.000
-0.058 8.816 0.000
-0.066 -0.316 10.217
Na Li Fe P C O
8 4 4 4 4 28
Direct
0.000 0.000 0.000
0.000 0.476 0.749
0.002 0.479 0.251
0.494 0.478 0.251
0.497 0.998 0.500
0.498 0.476 0.748
0.501 0.000 0.999
0.754 0.821 0.247
0.241 0.647 0.503
0.249 0.649 0.998
0.753 0.825 0.748
0.979 0.011 0.508
0.246 0.085 0.731
0.246 0.092 0.237
0.748 0.386 0.511
0.750 0.388 0.015
0.242 0.331 0.477
0.250 0.330 0.977
0.749 0.145 0.768
0.751 0.148 0.275
0.247 0.791 0.264
0.248 0.788 0.762
0.749 0.681 0.984
0.758 0.693 0.498
0.066 0.429 0.016
0.066 0.436 0.517
0.228 0.172 0.539
0.243 0.306 0.325
0.243 0.897 0.356
0.245 0.892 0.856
0.249 0.828 0.141
0.249 0.829 0.641
0.250 0.300 0.827
0.250 0.647 0.793
0.250 0.650 0.297
0.253 0.177 0.046
0.431 0.423 0.520
0.435 0.432 0.016
0.561 0.046 0.732
0.563 0.052 0.236
0.747 0.307 0.214
0.747 0.595 0.399
0.747 0.825 0.967
0.750 0.299 0.701
0.750 0.587 0.883
0.750 0.643 0.616
0.751 0.625 0.101
0.755 0.173 0.920
0.762 0.168 0.428
0.774 0.836 0.477
0.929 0.044 0.724
0.933 0.054 0.228
```

Structure and simulated PXRD pattern of Na2LiFePCO7 (a cell relaxed with PBE+U; Cu Kα X-rays).
Lines closer than 0.1° are merged.

Largest 8 diffraction maxima, by angle, 2θ from 10° to 90°:
2θ (°)  I_rel
10.0  100
19.8  27
20.3  26
26.2  30
26.5  89
33.4  40
33.6  49
35.0  52

Crystal structure
```
Na2LiFePCO7
1.0
6.722 0.000 0.000
0.036 8.836 0.000
0.027 0.290 10.262
Na Li Fe P C O
8 4 4 4 4 28
Direct
0.000 0.000 0.000
0.001 0.484 0.747
0.493 0.483 0.749
0.495 0.489 0.245
0.499 0.006 0.496
0.743 0.828 0.752
0.744 0.827 0.251
0.997 0.006 0.494
0.020 0.469 0.253
0.243 0.644 0.494
0.246 0.648 0.997
0.528 0.026 0.987
0.250 0.096 0.768
0.253 0.101 0.253
0.751 0.394 0.477
0.751 0.395 0.989
0.249 0.333 0.513
0.249 0.339 0.023
0.748 0.160 0.731
0.751 0.158 0.221
0.240 0.788 0.236
0.247 0.796 0.731
0.739 0.692 0.006
0.748 0.686 0.507
0.067 0.429 0.971
0.068 0.435 0.469
0.218 0.651 0.197
0.230 0.319 0.174
0.242 0.827 0.855
0.243 0.307 0.664
0.246 0.179 0.446
0.248 0.657 0.693
0.248 0.819 0.359
0.252 0.906 0.644
0.257 0.898 0.149
0.269 0.178 0.965
0.431 0.441 0.989
0.435 0.430 0.476
0.565 0.063 0.778
0.567 0.071 0.274
0.722 0.837 0.014
0.732 0.176 0.069
0.744 0.181 0.580
0.745 0.624 0.393
0.746 0.627 0.894
0.747 0.315 0.795
0.749 0.831 0.517
0.751 0.598 0.611
0.751 0.605 0.111
0.770 0.319 0.278
0.936 0.058 0.254
0.936 0.064 0.770
```

Structure and simulated PXRD pattern of Na2LiFePCO7 (a cell relaxed with PBE+U; Cu Kα X-rays).
Lines closer than 0.1° are merged.

Largest 8 diffraction maxima, by angle, 2θ from 10° to 90°:
2θ (°)  I_rel
19.7  32
26.1  38
27.0  100
30.1  38
33.6  39
33.8  51
34.9  64
49.3  38

Crystal structure
```
Na2LiFePCO7
1.0
8.910 0.000 0.000
0.000 6.615 0.000
-0.290 0.000 10.297
Na Li Fe P C O
8 4 4 4 4 28
Direct
0.000 0.001 0.000
0.000 0.999 0.500
0.178 0.251 0.754
0.178 0.749 0.254
0.655 0.251 0.505
0.655 0.749 0.005
0.656 0.252 0.006
0.656 0.748 0.506
0.190 0.241 0.258
0.190 0.759 0.758
0.832 0.492 0.255
0.832 0.508 0.755
0.266 0.498 0.488
0.266 0.502 0.988
0.565 0.001 0.771
0.565 0.999 0.271
0.328 0.005 0.027
0.328 0.995 0.527
0.504 0.494 0.230
0.504 0.506 0.730
0.863 0.008 0.246
0.863 0.992 0.746
0.970 0.498 0.019
0.970 0.502 0.519
0.008 0.027 0.240
0.008 0.973 0.740
0.011 0.500 0.399
0.011 0.500 0.899
0.071 0.494 0.114
0.071 0.506 0.614
0.232 0.184 0.487
0.232 0.816 0.987
0.233 0.192 0.982
0.233 0.808 0.482
0.347 0.014 0.179
0.347 0.986 0.679
0.350 0.479 0.296
0.350 0.521 0.796
0.478 0.499 0.080
0.478 0.501 0.580
0.482 0.001 0.964
0.482 0.999 0.464
0.596 0.315 0.773
0.596 0.685 0.273
0.609 0.312 0.267
0.609 0.688 0.767
0.780 0.002 0.640
0.780 0.998 0.140
0.798 0.001 0.857
0.798 0.999 0.357
0.830 0.499 0.548
0.830 0.501 0.048
```